For Li2BePS4, a crystal structure in Alexandria, relaxed with PBE gives the theoretical powder X-ray diffraction pattern in this record (Cu Ka).
Neutral-atom scattering factors, no anomalous dispersion.

Structural model:
Cell: 7.856 9.557 5.556 Å, 90.00 134.95 90.00°
Space group C2 (No. 5)
Unique sites:
Li  0.000  0.000  0.000
Li  0.000  0.250  0.500
Be  0.000  0.750  0.500
P  0.000  0.500  0.000
S  0.208  0.630  0.951
S  0.243  0.871  0.535

Principal peaks in the range 2θ from 15° to 90°, by angle:
h k l	Position (°2θ)	Rel. int.
1 1 0	18.47	29
2 2 -1	29.43	100
2 0 -2	32.21	12
1 1 1	37.40	11
4 0 -2	46.20	17
1 3 -2	46.33	7
2 4 -2	50.37	29
2 2 -3	55.72	21
0 6 1	62.97	9
4 6 -3	81.56	7